1.
The following is a simulated XRD peak list of SmHBr3. It was derived from the GGA-PBE geometry in Alexandria, using a wavelength of 1.5418 Å.

Cell and atoms:
Unit cell a=7.7209 b=7.7120 c=13.3652 alpha=90.00 beta=108.17 gamma=90.00
Space group P2/c (No. 13)
Unique sites:
Sm: 0.0001 0.2500 0.0833 (multiplicity 4)
H: 0.0513 0.2362 0.7589 (multiplicity 4)
Br: 0.2487 0.0074 0.5507 (multiplicity 4)
Br: 0.2486 0.2502 0.2950 (multiplicity 4)
Br: 0.2486 0.4944 0.0406 (multiplicity 4)

Top 8 peaks for 10° ≤ 2θ ≤ 90°, low angle first:
2theta, I (rel.)
12.06, 64
13.43, 100
13.95, 40
16.56, 26
29.18, 29
29.81, 29
33.48, 37
47.13, 44


2.
The following is a simulated XRD peak list of SnH4Br4. It was derived from the GGA-PBE geometry in Alexandria, using a wavelength of 1.5418 Å.

Cell and atoms:
Unit cell a=5.4395 b=5.5205 c=7.7388 alpha=87.78 beta=69.54 gamma=84.66
Space group P-1 (No. 2)
Unique sites:
Sn: 0.0000 0.0000 0.0000 (multiplicity 1)
H: 0.1355 0.5050 0.7276 (multiplicity 2)
H: 0.2492 0.7905 0.9994 (multiplicity 2)
Br: 0.0891 0.2585 0.2753 (multiplicity 2)
Br: 0.3629 0.2676 0.7291 (multiplicity 2)

Top 8 peaks for 10° ≤ 2θ ≤ 90°, low angle first:
2theta, I (rel.)
17.48, 48
24.57, 20
24.90, 93
28.76, 100
41.08, 21
41.36, 20
41.68, 20
50.36, 21


3.
The following is a simulated XRD peak list of SnH2Br2. It was derived from the GGA-PBE geometry in Alexandria, using a wavelength of 1.5418 Å.

Cell and atoms:
Unit cell a=12.2909 b=3.1734 c=5.6346 alpha=90.00 beta=94.77 gamma=90.00
Space group C2/m (No. 12)
Unique sites:
Sn: 0.0000 0.0000 0.0000 (multiplicity 2)
H: 0.0702 0.5000 0.1634 (multiplicity 4)
Br: 0.1550 0.0000 0.6893 (multiplicity 4)

Top 8 peaks for 10° ≤ 2θ ≤ 90°, low angle first:
2theta, I (rel.)
22.35, 100
29.07, 57
32.11, 37
33.54, 40
34.00, 31
40.15, 25
47.38, 22
48.65, 32


4.
The following is a simulated XRD peak list of SrH2Br4. It was derived from the GGA-PBE geometry in Alexandria, using a wavelength of 1.5418 Å.

Cell and atoms:
Unit cell a=9.5210 b=9.5210 c=8.5981 alpha=90.00 beta=90.00 gamma=90.00
Space group I-42d (No. 122)
Unique sites:
Sr: 0.0000 0.0000 0.0000 (multiplicity 4)
H: 0.1938 0.2500 0.6250 (multiplicity 8)
Br: 0.0735 0.6922 0.9148 (multiplicity 16)

Top 8 peaks for 10° ≤ 2θ ≤ 90°, low angle first:
2theta, I (rel.)
23.31, 52
24.57, 62
27.96, 100
29.67, 77
30.01, 99
32.63, 74
35.56, 76
36.43, 81


5.
The following is a simulated XRD peak list of TcH2Br4. It was derived from the GGA-PBE geometry in Alexandria, using a wavelength of 1.5418 Å.

Cell and atoms:
Unit cell a=3.7251 b=6.9608 c=8.1788 alpha=90.99 beta=101.64 gamma=94.98
Space group P-1 (No. 2)
Unique sites:
Tc: 0.0000 0.0000 0.0000 (multiplicity 1)
H: 0.1436 0.4814 0.7726 (multiplicity 2)
Br: 0.1191 0.6842 0.2857 (multiplicity 2)
Br: 0.3964 0.8262 0.8316 (multiplicity 2)

Top 8 peaks for 10° ≤ 2θ ≤ 90°, low angle first:
2theta, I (rel.)
11.05, 100
12.77, 39
17.22, 52
25.29, 69
27.68, 55
28.80, 34
31.79, 46
32.89, 54


6.
The following is a simulated XRD peak list of TeH2Br6. It was derived from the GGA-PBE geometry in Alexandria, using a wavelength of 1.5418 Å.

Cell and atoms:
Unit cell a=16.0276 b=13.2362 c=6.8201 alpha=90.00 beta=97.52 gamma=90.00
Space group C2/c (No. 15)
Unique sites:
Te: 0.0000 0.0953 0.2500 (multiplicity 4)
H: 0.1378 0.4800 0.8251 (multiplicity 8)
Br: 0.0969 0.2258 0.1233 (multiplicity 8)
Br: 0.1035 0.0750 0.6025 (multiplicity 8)
Br: 0.1391 0.4145 0.6555 (multiplicity 8)

Top 8 peaks for 10° ≤ 2θ ≤ 90°, low angle first:
2theta, I (rel.)
11.14, 52
18.04, 26
18.76, 31
25.13, 49
28.45, 100
30.05, 41
38.67, 28
44.85, 28


7.
The following is a simulated XRD peak list of TeHBr3. It was derived from the GGA-PBE geometry in Alexandria, using a wavelength of 1.5418 Å.

Cell and atoms:
Unit cell a=5.0709 b=7.3405 c=10.6159 alpha=75.79 beta=85.44 gamma=74.76
Space group P-1 (No. 2)
Unique sites:
Te: 0.1894 0.4520 0.1860 (multiplicity 2)
H: 0.1351 0.4245 0.7809 (multiplicity 2)
Br: 0.1013 0.7446 0.9359 (multiplicity 2)
Br: 0.1867 0.2023 0.4028 (multiplicity 2)
Br: 0.3852 0.6891 0.2784 (multiplicity 2)

Top 8 peaks for 10° ≤ 2θ ≤ 90°, low angle first:
2theta, I (rel.)
12.85, 74
13.70, 38
19.96, 26
20.22, 97
25.40, 100
29.13, 60
31.75, 48
38.92, 27


8.
The following is a simulated XRD peak list of TeH12Br6. It was derived from the GGA-PBE geometry in Alexandria, using a wavelength of 1.5418 Å.

Cell and atoms:
Unit cell a=7.6517 b=8.3004 c=8.9023 alpha=63.26 beta=87.97 gamma=65.80
Space group P-1 (No. 2)
Unique sites:
Te: 0.0000 0.0000 0.0000 (multiplicity 1)
H: 0.0169 0.3381 0.2782 (multiplicity 2)
H: 0.0539 0.8577 0.2252 (multiplicity 2)
H: 0.0851 0.1628 0.0110 (multiplicity 2)
H: 0.2355 0.8471 0.9895 (multiplicity 2)
H: 0.3275 0.3696 0.7234 (multiplicity 2)
H: 0.3490 0.2912 0.4487 (multiplicity 2)
Br: 0.1707 0.6714 0.7217 (multiplicity 2)
Br: 0.3068 0.3626 0.2631 (multiplicity 2)
Br: 0.4285 0.1712 0.7314 (multiplicity 2)

Top 8 peaks for 10° ≤ 2θ ≤ 90°, low angle first:
2theta, I (rel.)
20.12, 28
22.76, 35
23.00, 24
23.35, 100
23.54, 89
24.05, 26
32.35, 49
34.42, 41


9.
The following is a simulated XRD peak list of TlTeH2Br8. It was derived from the GGA-PBE geometry in Alexandria, using a wavelength of 1.5418 Å.

Cell and atoms:
Unit cell a=7.0748 b=7.4469 c=8.2616 alpha=90.96 beta=90.19 gamma=90.70
Space group P-1 (No. 2)
Unique sites:
Tl: 0.0000 0.0000 0.0000 (multiplicity 1)
Te: 0.0000 0.0000 0.5000 (multiplicity 1)
H: 0.2529 0.3152 0.7818 (multiplicity 2)
Br: 0.2113 0.8228 0.7252 (multiplicity 2)
Br: 0.2326 0.2948 0.5315 (multiplicity 2)
Br: 0.2387 0.8578 0.2710 (multiplicity 2)
Br: 0.2711 0.3322 0.9647 (multiplicity 2)

Top 8 peaks for 10° ≤ 2θ ≤ 90°, low angle first:
2theta, I (rel.)
11.89, 100
12.51, 90
17.18, 48
27.21, 71
27.54, 77
27.79, 76
35.22, 35
35.47, 38


10.
The following is a simulated XRD peak list of TiH2Br4. It was derived from the GGA-PBE geometry in Alexandria, using a wavelength of 1.5418 Å.

Cell and atoms:
Unit cell a=6.9025 b=3.5462 c=7.2723 alpha=90.00 beta=95.68 gamma=90.00
Space group P2/m (No. 10)
Unique sites:
Ti: 0.0000 0.0000 0.0000 (multiplicity 1)
H: 0.2510 0.5000 0.3284 (multiplicity 2)
Br: 0.2153 0.5000 0.8605 (multiplicity 2)
Br: 0.2439 0.0000 0.3171 (multiplicity 2)

Top 8 peaks for 10° ≤ 2θ ≤ 90°, low angle first:
2theta, I (rel.)
12.89, 39
25.94, 64
26.69, 50
29.01, 68
30.42, 100
31.48, 65
37.68, 48
45.48, 44


11.
The following is a simulated XRD peak list of Tl3HBr6. It was derived from the GGA-PBE geometry in Alexandria, using a wavelength of 1.5418 Å.

Cell and atoms:
Unit cell a=12.7808 b=15.9526 c=7.5763 alpha=90.00 beta=90.00 gamma=90.00
Space group Cmc2_1 (No. 36)
Unique sites:
Tl: 0.0000 0.1646 0.0000 (multiplicity 4)
Tl: 0.2183 0.3887 0.9947 (multiplicity 8)
H: 0.0000 0.3753 0.5059 (multiplicity 4)
Br: 0.0000 0.3039 0.2118 (multiplicity 4)
Br: 0.0000 0.4488 0.6198 (multiplicity 4)
Br: 0.1482 0.2244 0.7644 (multiplicity 8)
Br: 0.1495 0.0627 0.1416 (multiplicity 8)

Top 8 peaks for 10° ≤ 2θ ≤ 90°, low angle first:
2theta, I (rel.)
14.68, 51
21.33, 100
25.24, 18
29.34, 34
32.11, 22
32.60, 24
35.97, 27
40.02, 23


12.
The following is a simulated XRD peak list of Tl3H2Br2. It was derived from the GGA-PBE geometry in Alexandria, using a wavelength of 1.5418 Å.

Cell and atoms:
Unit cell a=3.7453 b=5.3776 c=9.4499 alpha=73.49 beta=78.61 gamma=89.96
Space group P-1 (No. 2)
Unique sites:
Tl: 0.0000 0.0000 0.0000 (multiplicity 1)
Tl: 0.3602 0.3606 0.2783 (multiplicity 2)
H: 0.4979 0.7675 0.9997 (multiplicity 2)
Br: 0.1751 0.1743 0.6510 (multiplicity 2)

Top 8 peaks for 10° ≤ 2θ ≤ 90°, low angle first:
2theta, I (rel.)
22.35, 47
28.21, 26
29.05, 100
30.21, 56
33.32, 35
34.84, 21
42.43, 39
58.32, 17


13.
The following is a simulated XRD peak list of Tl7H12Br. It was derived from the GGA-PBE geometry in Alexandria, using a wavelength of 1.5418 Å.

Cell and atoms:
Unit cell a=6.7223 b=7.8735 c=8.5776 alpha=108.43 beta=105.96 gamma=105.05
Space group P1 (No. 1)
Unique sites:
Tl: 0.0000 0.0000 0.0000 (multiplicity 1)
Tl: 0.0872 0.1597 0.7080 (multiplicity 1)
Tl: 0.2487 0.3200 0.4278 (multiplicity 1)
Tl: 0.4310 0.4231 0.1402 (multiplicity 1)
Tl: 0.6126 0.5265 0.8526 (multiplicity 1)
Tl: 0.7748 0.6861 0.5723 (multiplicity 1)
Tl: 0.8624 0.8460 0.2805 (multiplicity 1)
H: 0.1338 0.6588 0.8606 (multiplicity 1)
H: 0.2188 0.6238 0.9057 (multiplicity 1)
H: 0.2518 0.7813 0.6198 (multiplicity 1)
H: 0.3253 0.8888 0.2887 (multiplicity 1)
H: 0.3434 0.7400 0.6259 (multiplicity 1)
H: 0.3995 0.8310 0.2955 (multiplicity 1)
H: 0.4627 0.0147 0.9861 (multiplicity 1)
H: 0.5192 0.1069 0.6546 (multiplicity 1)
H: 0.5365 0.9566 0.9931 (multiplicity 1)
H: 0.6109 0.0657 0.6609 (multiplicity 1)
H: 0.6423 0.2215 0.3741 (multiplicity 1)
H: 0.7276 0.1868 0.4192 (multiplicity 1)
Br: 0.9306 0.4227 0.1396 (multiplicity 1)

Top 8 peaks for 10° ≤ 2θ ≤ 90°, low angle first:
2theta, I (rel.)
15.48, 100
30.80, 23
31.05, 22
31.26, 17
32.63, 30
32.77, 24
33.04, 19
33.41, 22